1.
Theoretical PXRD pattern
Compound: LaY3Cd4
Radiation: a wavelength of 1.5418 Å
Structure: a PBE-relaxed structure
Lines closer than 0.1° are merged.

Most intense lines, 2θ = 5–70°, low angle first:
- 33.25°, I 100
- 33.53°, I 49
- 48.15°, I 17
- 59.24°, I 17
- 59.77°, I 35
- 69.81°, I 11

Structure:
Unit cell a=5.3454 b=5.3454 c=7.6842 alpha=90.00 beta=90.00 gamma=90.00
Fractional coordinates of all 8 atoms:
La 0.0000 0.0000 0.0000
Y 0.0000 0.0000 0.5000
Y 0.5000 0.5000 0.0000
Y 0.5000 0.5000 0.5000
Cd 0.0000 0.5000 0.2621
Cd 0.0000 0.5000 0.7379
Cd 0.5000 0.0000 0.2621
Cd 0.5000 0.0000 0.7379

2.
Theoretical PXRD pattern
Compound: Ce3Si2
Radiation: a wavelength of 1.5418 Å
Structure: a PBE-relaxed structure
Lines closer than 0.1° are merged.

Most intense lines, 2θ = 5–70°, low angle first:
- 26.08°, I 38
- 27.13°, I 35
- 31.87°, I 100
- 34.01°, I 84
- 37.21°, I 47
- 55.65°, I 28

Structure:
Unit cell a=7.6409 b=7.6409 c=4.1423 alpha=90.00 beta=90.00 gamma=90.00
Fractional coordinates of all 10 atoms:
Ce 0.0000 0.0000 0.0000
Ce 0.1802 0.3198 0.5000
Ce 0.3198 0.8198 0.5000
Ce 0.5000 0.5000 0.0000
Ce 0.6802 0.1802 0.5000
Ce 0.8198 0.6802 0.5000
Si 0.1130 0.6130 0.0000
Si 0.3870 0.1130 0.0000
Si 0.6130 0.8870 0.0000
Si 0.8870 0.3870 0.0000

3.
Theoretical PXRD pattern
Compound: CsNbH2SO
Radiation: a wavelength of 1.5418 Å
Structure: a PBE-relaxed structure
Lines closer than 0.1° are merged.

Most intense lines, 2θ = 5–70°, low angle first:
- 24.60°, I 41
- 25.45°, I 100
- 26.00°, I 29
- 31.41°, I 74
- 34.46°, I 54
- 46.50°, I 37

Structure:
Unit cell a=7.4495 b=7.4495 c=3.9983 alpha=90.07 beta=90.07 gamma=27.39
Fractional coordinates of all 6 atoms:
Cs 0.0000 0.0000 0.0000
Nb 0.2795 0.2795 0.4681
H 0.4046 0.4046 0.5078
H 0.8402 0.8402 0.5036
S 0.6577 0.6577 0.5059
O 0.2978 0.2978 0.0079

4.
Theoretical PXRD pattern
Compound: La6TbHo5
Radiation: a wavelength of 1.5418 Å
Structure: a PBE-relaxed structure
Lines closer than 0.1° are merged.

Most intense lines, 2θ = 5–70°, low angle first:
- 30.12°, I 55
- 31.31°, I 100
- 43.12°, I 21
- 54.25°, I 42
- 56.45°, I 19
- 65.32°, I 12

Structure:
Unit cell a=10.1617 b=10.1617 c=10.1617 alpha=146.06 beta=134.84 gamma=57.67
Fractional coordinates of all 12 atoms:
La 0.0817 0.3327 0.7490
La 0.2480 0.0000 0.2480
La 0.4163 0.6673 0.7490
La 0.5837 0.3327 0.2510
La 0.7520 0.0000 0.7520
La 0.9183 0.6673 0.2510
Tb 0.5000 0.5000 0.0000
Ho 0.0000 0.5000 0.5000
Ho 0.1668 0.1668 0.0000
Ho 0.3337 0.8337 0.5000
Ho 0.6663 0.1663 0.5000
Ho 0.8332 0.8332 0.0000

5.
Theoretical PXRD pattern
Compound: Li2BeAu5
Radiation: a wavelength of 1.5418 Å
Structure: a PBE-relaxed structure
Lines closer than 0.1° are merged.

Most intense lines, 2θ = 5–70°, low angle first:
- 28.28°, I 54
- 31.81°, I 69
- 39.01°, I 62
- 39.94°, I 73
- 40.16°, I 100
- 44.30°, I 51

Structure:
Unit cell a=5.5953 b=10.7472 c=4.0890 alpha=90.00 beta=90.00 gamma=90.00
Fractional coordinates of all 16 atoms:
Li 0.1663 0.1419 0.0000
Li 0.3337 0.6419 0.0000
Li 0.6663 0.3581 0.0000
Li 0.8337 0.8581 0.0000
Be 0.0000 0.5000 0.5000
Be 0.5000 0.0000 0.5000
Au 0.0000 0.0000 0.5000
Au 0.0815 0.7303 0.5000
Au 0.1783 0.4016 0.0000
Au 0.3217 0.9016 0.0000
Au 0.4185 0.2303 0.5000
Au 0.5000 0.5000 0.5000
Au 0.5815 0.7697 0.5000
Au 0.6783 0.0984 0.0000
Au 0.8217 0.5984 0.0000
Au 0.9185 0.2697 0.5000